[1]
Theoretical powder X-ray diffraction pattern of K5Na3Nb5W3O24 for Cu Ka, from DFT lattice parameters and positions (PBE+U).

Peak list (10 most intense, 5° ≤ 2θ ≤ 70°, low angle first)
10.98°, d 8.057, I = 13; 22.07°, d 4.028, I = 84; 24.71°, d 3.603, I = 8; 31.39°, d 2.850, I = 100; 31.49°, d 2.841, I = 20; 45.01°, d 2.014, I = 45; 50.67°, d 1.802, I = 24; 55.82°, d 1.647, I = 23; 56.00°, d 1.642, I = 23; 65.54°, d 1.424, I = 17

Crystal structure
abc: 8.056 8.057 8.057
angles: 89.99 89.70 89.98
Element x y z (fractional)
K1 0.000 0.000 0.000
K2 0.000 0.001 0.502
K3 0.000 0.502 0.000
K4 0.498 0.001 0.000
K5 0.498 0.501 0.000
Na1 0.000 0.501 0.502
Na2 0.498 0.000 0.502
Na3 0.498 0.502 0.502
Nb1 0.249 0.750 0.750
Nb2 0.249 0.751 0.252
Nb3 0.748 0.251 0.253
Nb4 0.748 0.750 0.252
Nb5 0.749 0.751 0.749
W1 0.249 0.251 0.252
W2 0.249 0.251 0.749
W3 0.749 0.251 0.751
O1 0.000 0.749 0.748
O2 0.003 0.253 0.252
O3 0.248 0.251 0.002
O4 0.249 0.496 0.747
O5 0.249 0.503 0.255
O6 0.249 0.750 0.999
O7 0.251 0.006 0.748
O8 0.251 0.749 0.502
O9 0.251 0.999 0.253
O10 0.252 0.253 0.500
O11 0.496 0.251 0.255
O12 0.497 0.750 0.747
O13 0.500 0.750 0.255
O14 0.501 0.251 0.745
O15 0.746 0.253 0.503
O16 0.747 0.004 0.254
O17 0.747 0.749 0.500
O18 0.747 0.999 0.748
O19 0.748 0.498 0.255
O20 0.749 0.503 0.747
O21 0.749 0.750 0.002
O22 0.750 0.251 0.998
O23 0.997 0.253 0.750
O24 0.998 0.749 0.254

---

[2]
Theoretical powder X-ray diffraction pattern of Li5Mn5Co2O12 for Cu Ka, from DFT lattice parameters and positions (PBE+U).

Peak list (10 most intense, 5° ≤ 2θ ≤ 70°, low angle first)
18.26°, d 4.860, I = 41; 19.94°, d 4.454, I = 30; 20.72°, d 4.286, I = 14; 23.02°, d 3.863, I = 36; 36.81°, d 2.442, I = 36; 42.14°, d 2.144, I = 59; 43.16°, d 2.096, I = 100; 61.74°, d 1.503, I = 28; 62.07°, d 1.495, I = 28; 62.68°, d 1.482, I = 27

Crystal structure
abc: 5.161 5.161 9.843
angles: 94.58 94.58 119.12
Element x y z (fractional)
Li1 0.000 0.000 0.000
Li2 0.248 0.262 0.756
Li3 0.405 0.072 0.242
Li4 0.738 0.752 0.244
Li5 0.928 0.595 0.758
Mn1 0.077 0.405 0.242
Mn2 0.159 0.841 0.500
Mn3 0.499 0.501 0.500
Mn4 0.595 0.923 0.758
Mn5 0.663 0.337 0.000
Co1 0.336 0.664 0.000
Co2 0.830 0.170 0.500
O1 0.032 0.671 0.113
O2 0.102 0.125 0.367
O3 0.248 0.569 0.630
O4 0.329 0.968 0.887
O5 0.387 0.386 0.111
O6 0.431 0.752 0.370
O7 0.539 0.222 0.616
O8 0.614 0.613 0.889
O9 0.717 0.076 0.124
O10 0.778 0.461 0.384
O11 0.875 0.898 0.633
O12 0.924 0.283 0.876

---

[3]
Theoretical powder X-ray diffraction pattern of CaMn2P4O14 for Cu Ka, from DFT lattice parameters and positions (PBE+U).

Peak list (10 most intense, 5° ≤ 2θ ≤ 70°, low angle first)
14.20°, d 6.238, I = 35; 15.65°, d 5.663, I = 75; 19.55°, d 4.540, I = 58; 24.19°, d 3.680, I = 24; 26.03°, d 3.424, I = 82; 28.68°, d 3.113, I = 100; 30.50°, d 2.930, I = 45; 31.13°, d 2.873, I = 59; 31.91°, d 2.805, I = 64; 35.82°, d 2.507, I = 55

Crystal structure
abc: 6.271 6.288 7.532
angles: 88.76 65.43 83.04
Element x y z (fractional)
Ca1 0.000 0.000 0.000
Mn1 0.266 0.485 0.174
Mn2 0.593 0.182 0.687
P1 0.133 0.219 0.581
P2 0.375 0.978 0.193
P3 0.477 0.691 0.679
P4 0.716 0.455 0.286
O1 0.131 0.422 0.472
O2 0.215 0.754 0.766
O3 0.240 0.800 0.164
O4 0.263 0.023 0.424
O5 0.265 0.210 0.716
O6 0.294 0.176 0.096
O7 0.549 0.484 0.767
O8 0.565 0.637 0.448
O9 0.588 0.446 0.151
O10 0.621 0.871 0.687
O11 0.635 0.924 0.119
O12 0.738 0.241 0.382
O13 0.890 0.155 0.720
O14 0.961 0.525 0.159

---

[4]
Theoretical powder X-ray diffraction pattern of Li9Mn2Co5O16 for Cu Ka, from DFT lattice parameters and positions (PBE+U).

Peak list (10 most intense, 5° ≤ 2θ ≤ 70°, low angle first)
18.12°, d 4.896, I = 100; 35.74°, d 2.512, I = 13; 35.85°, d 2.505, I = 14; 36.55°, d 2.458, I = 11; 42.85°, d 2.110, I = 27; 43.10°, d 2.099, I = 27; 44.41°, d 2.040, I = 23; 62.82°, d 1.479, I = 7; 63.10°, d 1.473, I = 7; 63.16°, d 1.472, I = 7

Crystal structure
abc: 2.944 9.992 10.383
angles: 106.73 98.09 90.33
Element x y z (fractional)
Li1 0.000 0.000 0.000
Li2 0.062 0.297 0.124
Li3 0.188 0.950 0.378
Li4 0.311 0.563 0.622
Li5 0.457 0.168 0.882
Li6 0.543 0.832 0.118
Li7 0.689 0.437 0.378
Li8 0.812 0.050 0.622
Li9 0.938 0.703 0.876
Mn1 0.116 0.625 0.249
Mn2 0.884 0.375 0.751
Co1 0.246 0.246 0.485
Co2 0.391 0.887 0.768
Co3 0.500 0.500 0.000
Co4 0.609 0.113 0.232
Co5 0.754 0.754 0.515
O1 0.030 0.633 0.060
O2 0.088 0.974 0.193
O3 0.160 0.283 0.322
O4 0.206 0.601 0.426
O5 0.281 0.895 0.560
O6 0.356 0.243 0.696
O7 0.418 0.512 0.815
O8 0.464 0.839 0.925
O9 0.536 0.161 0.075
O10 0.582 0.488 0.185
O11 0.644 0.757 0.304
O12 0.719 0.105 0.440
O13 0.794 0.399 0.574
O14 0.840 0.717 0.678
O15 0.912 0.026 0.807
O16 0.970 0.367 0.940

---

Q: Which formula does entry 2 have?
A: Li5Mn5Co2O12

---

Q: Which formula does entry 4 have?
A: Li9Mn2Co5O16

---

Q: What is the formula in the third record?
A: CaMn2P4O14